Simulated powder X-ray diffraction pattern of Na3CoO3 for Cu Kα (λ = 1.5418 Å), from a structure optimized by DFT (GGA+U).
Peak positions follow from Bragg's law for the DFT cell and can differ from measured ones.

The 6 most intense peaks (10 to 90 degrees two-theta), most intense first:
2θ 23.1, I = 100.0; 2θ 37.8, I = 60.1; 2θ 33.3, I = 43.2; 2θ 43.1, I = 24.6; 2θ 27.4, I = 23.1; 2θ 34.9, I = 21.6

Structural model:
```
data_Na3CoO3
_space_group_name_H-M_alt 'C m c m'
_space_group_IT_number 63
_space_group_name_Hall '-C 2c 2'
_cell_length_a 8.4043
_cell_length_b 10.2901
_cell_length_c 4.7652
_cell_angle_alpha 90.00
_cell_angle_beta 90.00
_cell_angle_gamma 90.00
loop_
_atom_site_label
_atom_site_type_symbol
_atom_site_fract_x
_atom_site_fract_y
_atom_site_fract_z
Na1 Na 0.0000 0.0991 0.2500
Na2 Na 0.2251 0.3915 0.2500
Co1 Co 0.0000 0.3024 0.7500
O1 O 0.0000 0.1281 0.7500
O2 O 0.1896 0.3768 0.7500
```